Entry 1:
Calculated X-ray diffraction stick pattern
Compound: Rb2Hg3Ge2S8
Radiation: Cu Kα X-rays
Structure: a cell relaxed with GGA-PBE
Kinematic intensities with the Lorentz-polarization factor, no thermal factor.

Peak list (6 most intense, 2θ from 10° to 90°, by angle)
d/Å	2theta	I_rel
4.087	21.75	100
3.938	22.58	54
3.334	26.74	51
3.305	26.98	70
3.267	27.30	50
3.104	28.76	47

Atomic structure:
```
Rb2Hg3Ge2S8
1.0
10.164 0.000 0.000
0.000 6.526 0.000
-1.840 0.000 13.345
Rb Hg Ge S
4 6 4 16
Cartesian
1.672 1.069 4.102
0.752 2.195 10.774
7.571 4.332 2.570
6.651 5.458 9.243
0.000 0.000 0.000
-0.920 3.263 6.672
4.358 4.607 5.100
3.438 5.183 11.773
4.886 1.343 1.572
3.966 1.920 8.244
2.734 4.464 1.002
1.813 5.326 7.674
6.510 1.201 5.671
5.590 2.062 12.343
-0.241 4.679 8.460
0.679 5.111 1.788
1.917 4.539 5.567
0.997 5.251 12.239
1.721 1.044 7.659
2.641 2.219 0.987
3.420 4.522 8.959
4.340 5.267 2.287
3.984 1.259 11.058
4.904 2.004 4.386
5.682 4.307 12.358
6.602 5.483 5.686
7.327 1.275 1.105
6.407 1.988 7.778
7.644 1.416 11.557
8.564 1.847 4.885
```



Entry 2:
Calculated X-ray diffraction stick pattern
Compound: NaHo3
Radiation: Cu Kα X-rays
Structure: a cell relaxed with GGA-PBE
Kinematic intensities with the Lorentz-polarization factor, no thermal factor.

Peak list (6 most intense, 2θ from 10° to 90°, by angle)
d/Å	2theta	I_rel
4.574	19.41	16
2.801	31.95	100
1.980	45.82	18
1.617	56.95	39
1.400	66.80	12
1.253	75.97	17

Atomic structure:
```
NaHo3
1.0
7.922 0.000 0.000
0.000 7.922 0.000
0.000 0.000 7.922
Na Ho
4 12
Cartesian
0.000 0.000 0.000
0.000 3.961 3.961
3.961 0.000 3.961
3.961 3.961 0.000
0.000 0.000 3.961
0.000 3.961 0.000
1.980 1.980 1.980
1.980 1.980 5.941
1.980 5.941 1.980
1.980 5.941 5.941
3.961 0.000 0.000
3.961 3.961 3.961
5.941 1.980 1.980
5.941 1.980 5.941
5.941 5.941 1.980
5.941 5.941 5.941
```



Entry 3:
Calculated X-ray diffraction stick pattern
Compound: CaB2H2
Radiation: Cu Kα X-rays
Structure: a cell relaxed with GGA-PBE
Kinematic intensities with the Lorentz-polarization factor, no thermal factor.

Peak list (6 most intense, 2θ from 10° to 90°, by angle)
d/Å	2theta	I_rel
3.511	25.37	64
3.191	27.96	100
3.031	29.47	56
3.012	29.66	81
2.437	36.89	95
2.287	39.40	74

Atomic structure:
```
CaB2H2
1.0
3.361 0.000 0.000
0.000 3.593 0.000
-1.233 0.000 16.578
Ca B H
4 8 8
Cartesian
0.283 0.041 6.393
-0.334 1.755 14.682
2.463 1.838 1.896
1.846 3.551 10.184
0.064 1.913 4.195
-0.552 3.476 12.484
0.219 1.802 8.391
0.835 3.587 0.102
1.293 0.006 16.475
1.910 1.790 8.187
2.681 0.116 4.093
2.064 1.680 12.382
0.821 1.938 3.208
0.205 3.451 11.497
0.854 1.886 5.148
0.238 3.503 13.436
1.891 0.090 3.141
1.275 1.707 11.430
1.924 0.142 5.080
1.307 1.654 13.369
```



Entry 4:
Calculated X-ray diffraction stick pattern
Compound: Nd2MgCuO4
Radiation: Cu Kα X-rays
Structure: a cell relaxed with GGA-PBE
Kinematic intensities with the Lorentz-polarization factor, no thermal factor.

Peak list (6 most intense, 2θ from 10° to 90°, by angle)
d/Å	2theta	I_rel
5.205	17.03	37
3.056	29.23	66
2.635	34.02	100
2.406	37.37	37
2.184	41.33	31
1.430	65.27	28

Atomic structure:
```
Nd2MgCuO4
1.0
3.403 0.000 0.000
0.000 3.403 0.000
0.000 0.000 20.821
Nd Mg Cu O
4 2 2 8
Cartesian
0.000 0.000 2.484
0.000 0.000 18.338
1.702 1.702 7.927
1.702 1.702 12.894
0.000 1.702 5.205
1.702 0.000 15.616
0.000 0.000 10.411
1.702 1.702 0.000
0.000 0.000 6.427
0.000 0.000 14.394
0.000 1.702 11.498
0.000 1.702 19.734
1.702 0.000 1.087
1.702 0.000 9.323
1.702 1.702 3.983
1.702 1.702 16.838
```



Entry 5:
Calculated X-ray diffraction stick pattern
Compound: ErRu3
Radiation: Cu Kα X-rays
Structure: a cell relaxed with GGA-PBE
Kinematic intensities with the Lorentz-polarization factor, no thermal factor.

Peak list (6 most intense, 2θ from 10° to 90°, by angle)
d/Å	2theta	I_rel
2.328	38.68	100
2.028	44.67	17
2.010	45.11	32
1.428	65.36	21
1.221	78.29	12
1.213	78.91	24

Atomic structure:
```
ErRu3
1.0
4.020 0.000 0.000
0.000 4.020 0.000
0.000 0.000 8.114
Er Ru
2 6
Cartesian
0.000 0.000 0.000
2.010 2.010 4.057
0.000 0.000 4.057
0.000 2.010 2.028
0.000 2.010 6.085
2.010 0.000 2.028
2.010 0.000 6.085
2.010 2.010 0.000
```



Entry 6:
Calculated X-ray diffraction stick pattern
Compound: Er2TlCu3S5
Radiation: Cu Kα X-rays
Structure: a cell relaxed with GGA-PBE
Kinematic intensities with the Lorentz-polarization factor, no thermal factor.

Peak list (6 most intense, 2θ from 10° to 90°, by angle)
d/Å	2theta	I_rel
3.379	26.37	63
3.094	28.86	100
2.932	30.49	70
2.719	32.95	58
2.406	37.37	43
1.836	49.67	51

Atomic structure:
```
Er2TlCu3S5
1.0
1.955 -6.909 0.000
1.955 6.909 0.000
0.000 0.000 16.311
Er Tl Cu S
4 2 6 10
Cartesian
1.955 4.260 9.684
1.955 4.260 14.783
1.955 -4.260 1.529
1.955 -4.260 6.627
1.955 5.929 4.078
1.955 -5.929 12.233
1.955 2.034 4.078
1.955 1.145 8.823
1.955 1.145 15.644
1.955 -1.145 0.668
1.955 -1.145 7.488
1.955 -2.034 12.233
1.955 4.582 1.145
1.955 4.582 7.011
1.955 3.577 12.233
1.955 0.850 1.880
1.955 0.850 6.276
1.955 -0.850 10.036
1.955 -0.850 14.431
1.955 -3.577 4.078
1.955 -4.582 9.300
1.955 -4.582 15.166
```



Entry 7:
Calculated X-ray diffraction stick pattern
Compound: TmB2Ru3
Radiation: Cu Kα X-rays
Structure: a cell relaxed with GGA-PBE
Kinematic intensities with the Lorentz-polarization factor, no thermal factor.

Peak list (6 most intense, 2θ from 10° to 90°, by angle)
d/Å	2theta	I_rel
2.555	35.12	77
2.375	37.88	100
2.034	44.55	47
1.545	59.87	33
1.371	68.41	19
1.278	74.22	27

Atomic structure:
```
TmB2Ru3
1.0
5.486 0.000 0.000
-2.743 4.751 0.000
0.000 0.000 3.031
Tm B Ru
1 2 3
Cartesian
0.000 0.000 0.000
0.000 3.167 0.000
2.743 1.584 0.000
-1.371 2.375 1.516
2.743 0.000 1.516
1.371 2.375 1.516
```



Entry 8:
Calculated X-ray diffraction stick pattern
Compound: Sr2ZnHg
Radiation: Cu Kα X-rays
Structure: a cell relaxed with GGA-PBE
Kinematic intensities with the Lorentz-polarization factor, no thermal factor.

Peak list (6 most intense, 2θ from 10° to 90°, by angle)
d/Å	2theta	I_rel
4.590	19.34	18
2.811	31.83	100
1.988	45.64	18
1.623	56.72	38
1.405	66.53	12
1.257	75.65	17

Atomic structure:
```
Sr2ZnHg
1.0
7.951 0.000 0.000
0.000 7.951 0.000
0.000 0.000 7.951
Sr Zn Hg
8 4 4
Cartesian
1.988 1.988 1.988
1.988 1.988 5.963
1.988 5.963 1.988
1.988 5.963 5.963
5.963 1.988 1.988
5.963 1.988 5.963
5.963 5.963 1.988
5.963 5.963 5.963
0.000 0.000 0.000
0.000 3.975 3.975
3.975 0.000 3.975
3.975 3.975 0.000
0.000 0.000 3.975
0.000 3.975 0.000
3.975 0.000 0.000
3.975 3.975 3.975
```